[1]
Diffraction record for Cd4Ag3Hg. The powder X-ray diffraction pattern is theoretical, not measured: it uses a structure optimized by DFT (GGA-PBE) and Cu Kα (λ = 1.5418 Å).

Peak list (8 most intense, 10° ≤ 2θ ≤ 90°, by angle)
2θ 35.58, I = 502
2θ 35.94, I = 1000
2θ 36.11, I = 487
2θ 41.59, I = 323
2θ 41.73, I = 647
2θ 60.03, I = 205
2θ 72.26, I = 235
2θ 72.63, I = 290

Cell and atoms:
```
Cd4Ag3Hg
1.0
20.273 0.000 0.000
0.000 3.056 0.000
-0.491 0.000 5.255
Cd Ag Hg
8 6 2
direct
0.124 0.000 0.356
0.244 0.000 0.753
0.256 0.500 0.247
0.376 0.500 0.644
0.624 0.500 0.356
0.744 0.500 0.753
0.756 0.000 0.247
0.876 0.000 0.644
0.000 0.000 0.000
0.121 0.500 0.868
0.379 0.000 0.132
0.500 0.500 0.000
0.621 0.000 0.868
0.879 0.500 0.132
0.000 0.500 0.500
0.500 0.000 0.500
```

=====

[2]
Diffraction record for Cd4AgHg5. The powder X-ray diffraction pattern is theoretical, not measured: it uses a structure optimized by DFT (GGA-PBE) and Cu Kα (λ = 1.5418 Å).

Peak list (8 most intense, 10° ≤ 2θ ≤ 90°, by angle)
2θ 31.83, I = 287
2θ 32.58, I = 324
2θ 34.13, I = 1000
2θ 35.43, I = 499
2θ 39.30, I = 260
2θ 41.17, I = 326
2θ 54.29, I = 223
2θ 57.82, I = 304

Cell and atoms:
```
Cd4AgHg5
1.0
7.830 -1.690 0.000
7.830 1.690 0.000
-2.304 0.000 9.305
Cd Ag Hg
4 1 5
direct
0.021 0.021 0.261
0.324 0.324 0.591
0.676 0.676 0.409
0.979 0.979 0.739
0.500 0.500 0.500
0.160 0.160 0.704
0.184 0.184 0.074
0.500 0.500 0.000
0.816 0.816 0.926
0.840 0.840 0.296
```

=====

[3]
Diffraction record for CdAg14Hg. The powder X-ray diffraction pattern is theoretical, not measured: it uses a structure optimized by DFT (GGA-PBE) and Cu Kα (λ = 1.5418 Å).

Peak list (8 most intense, 10° ≤ 2θ ≤ 90°, by angle)
2θ 36.25, I = 496
2θ 37.28, I = 367
2θ 39.82, I = 1000
2θ 45.23, I = 260
2θ 60.00, I = 112
2θ 62.82, I = 150
2θ 68.93, I = 182
2θ 75.37, I = 174

Cell and atoms:
```
CdAg14Hg
1.0
9.649 0.000 0.000
0.000 2.965 5.121
0.000 -2.965 5.121
Cd Ag Hg
1 14 1
direct
0.000 0.000 0.000
0.000 0.000 0.500
0.000 0.500 0.000
0.253 0.332 0.332
0.253 0.832 0.832
0.255 0.333 0.834
0.255 0.834 0.333
0.500 0.166 0.166
0.500 0.166 0.666
0.500 0.666 0.166
0.500 0.666 0.666
0.745 0.333 0.834
0.745 0.834 0.333
0.747 0.332 0.332
0.747 0.832 0.832
0.000 0.500 0.500
```

=====

[4]
Diffraction record for Cd2Ag7Hg2. The powder X-ray diffraction pattern is theoretical, not measured: it uses a structure optimized by DFT (GGA-PBE) and Cu Kα (λ = 1.5418 Å).

Peak list (8 most intense, 10° ≤ 2θ ≤ 90°, by angle)
2θ 27.93, I = 154
2θ 36.21, I = 360
2θ 37.65, I = 1000
2θ 38.95, I = 348
2θ 40.21, I = 143
2θ 63.32, I = 142
2θ 69.69, I = 155
2θ 76.90, I = 161

Cell and atoms:
```
Cd2Ag7Hg2
1.0
-2.312 6.412 3.685
2.312 -6.412 3.685
2.312 6.412 -3.685
Cd Ag Hg
2 7 2
direct
0.000 0.000 0.000
0.697 0.197 0.500
0.137 0.496 0.641
0.262 0.902 0.361
0.408 0.408 0.000
0.541 0.902 0.639
0.544 0.697 0.846
0.851 0.697 0.154
0.855 0.496 0.359
0.409 0.203 0.206
0.996 0.203 0.794
```

=====

[5]
Diffraction record for Li3Cd2Ag2Hg4. The powder X-ray diffraction pattern is theoretical, not measured: it uses a structure optimized by DFT (GGA-PBE) and Cu Kα (λ = 1.5418 Å).

Peak list (8 most intense, 10° ≤ 2θ ≤ 90°, by angle)
2θ 21.52, I = 679
2θ 26.56, I = 134
2θ 37.73, I = 708
2θ 38.11, I = 1000
2θ 54.71, I = 348
2θ 68.12, I = 124
2θ 68.37, I = 356
2θ 77.46, I = 160

Cell and atoms:
```
Li3Cd2Ag2Hg4
1.0
4.768 0.000 0.000
-2.384 4.129 0.000
0.000 0.000 11.515
Li Cd Ag Hg
3 2 2 4
direct
0.000 0.000 0.000
0.000 0.000 0.355
0.000 0.000 0.645
0.333 0.667 0.067
0.667 0.333 0.933
0.333 0.667 0.561
0.667 0.333 0.439
0.333 0.667 0.319
0.333 0.667 0.812
0.667 0.333 0.188
0.667 0.333 0.681
```

=====

[6]
Diffraction record for Li2CdAgHg. The powder X-ray diffraction pattern is theoretical, not measured: it uses a structure optimized by DFT (GGA-PBE) and Cu Kα (λ = 1.5418 Å).

Peak list (8 most intense, 10° ≤ 2θ ≤ 90°, by angle)
2θ 18.68, I = 309
2θ 21.84, I = 393
2θ 23.78, I = 329
2θ 25.92, I = 650
2θ 26.26, I = 318
2θ 37.07, I = 495
2θ 38.99, I = 796
2θ 40.12, I = 1000

Cell and atoms:
```
Li2CdAgHg
1.0
5.085 0.000 0.000
0.000 4.851 0.000
-2.231 0.000 7.483
Li Cd Ag Hg
4 2 2 2
direct
0.122 0.250 0.103
0.319 0.250 0.501
0.681 0.750 0.499
0.878 0.750 0.897
0.484 0.750 0.107
0.516 0.250 0.893
0.277 0.750 0.709
0.723 0.250 0.291
0.091 0.750 0.315
0.909 0.250 0.685
```